Entry 1:
For LiZn8Ag5, a PBE-relaxed structure gives the computed powder X-ray diffraction pattern in this record (a wavelength of 1.5418 Å).
No peak broadening, texture or thermal motion is included.

Atomic structure:
```
data_LiZn8Ag5
_chemical_formula_sum 'Li2 Zn16 Ag10'
_symmetry_space_group_name_H-M 'I -4'
_symmetry_Int_Tables_number 82
_symmetry_space_group_name_Hall 'I -4'
_cell_length_a 7.383
_cell_length_b 7.383
_cell_length_c 8.825
_cell_angle_alpha 90.00
_cell_angle_beta 90.00
_cell_angle_gamma 90.00
loop_
_atom_site_label
_atom_site_fract_x
_atom_site_fract_y
_atom_site_fract_z
_atom_site_occupancy
Li1 0.000 0.000 0.000 1
Zn1 0.072 0.166 0.374 1
Zn2 0.098 0.347 0.985 1
Ag1 0.000 0.500 0.250 1
Ag2 0.155 0.290 0.681 1
```

The 10 most intense peaks (2θ = 5–70°), in order of rising 2θ:
Position (°2θ), intensity, (hkl)
15.65, 30, 1 0 1
16.98, 22, 1 1 0
28.87, 20, 2 1 1
37.96, 75, 3 0 1
38.56, 29, 1 3 0
40.14, 24, 2 2 2
41.10, 100, 2 1 3
43.87, 24, 1 3 2
44.59, 33, 1 1 4
45.47, 37, 3 2 1

Entry 2:
For Fe3P5, a PBE-relaxed structure gives the computed powder X-ray diffraction pattern in this record (a wavelength of 1.5418 Å).
No peak broadening, texture or thermal motion is included.

Atomic structure:
```
data_Fe3P5
_chemical_formula_sum 'Fe12 P20'
_symmetry_space_group_name_H-M 'C 1 m 1'
_symmetry_Int_Tables_number 8
_symmetry_space_group_name_Hall 'C -2y'
_cell_length_a 6.444
_cell_length_b 11.412
_cell_length_c 5.876
_cell_angle_alpha 90.00
_cell_angle_beta 109.37
_cell_angle_gamma 90.00
loop_
_atom_site_label
_atom_site_fract_x
_atom_site_fract_y
_atom_site_fract_z
_atom_site_occupancy
Fe1 0.000 0.000 0.000 1
Fe2 0.086 0.348 0.313 1
Fe3 0.147 0.245 0.742 1
Fe4 0.195 0.000 0.625 1
P1 0.316 0.500 0.261 1
P2 0.322 0.196 0.459 1
P3 0.334 0.000 0.299 1
P4 0.373 0.394 0.644 1
P5 0.459 0.118 0.898 1
P6 0.485 0.302 0.032 1
```

The 10 most intense peaks (2θ = 5–70°), in order of rising 2θ:
Position (°2θ), intensity, (hkl)
26.28, 61, 1 1 1
27.66, 89, 1 3 0
28.42, 51, 2 0 -1
39.31, 100, 2 2 -2
40.78, 49, 1 1 2
47.34, 65, 1 5 1
48.39, 76, 2 4 -2
50.22, 95, 2 4 1
50.77, 57, 0 6 1
57.30, 52, 4 0 -1